Computed X-ray powder pattern
Compound: CeNb2CrO8
Radiation: Cu Kα (λ = 1.5418 Å)
Structure: the PBE+U geometry in Alexandria

Structural model:
```
data_CeNb2CrO8
_chemical_formula_sum 'Ce2 Nb4 Cr2 O16'
_symmetry_space_group_name_H-M 'C 1 2/m 1'
_symmetry_Int_Tables_number 12
_cell_length_a 7.1028
_cell_length_b 6.7732
_cell_length_c 6.4546
_cell_angle_alpha 90.00
_cell_angle_beta 90.48
_cell_angle_gamma 90.00
loop_
_symmetry_equiv_pos_as_xyz
'x,y,z'
'-x,-y,-z'
'-x,y,-z'
'x,-y,z'
'x+1/2,y+1/2,z'
'-x+1/2,-y+1/2,-z'
'-x+1/2,y+1/2,-z'
'x+1/2,-y+1/2,z'
loop_
_atom_site_label
_atom_site_fract_x
_atom_site_fract_y
_atom_site_fract_z
Ce1 0.0000 0.0000 0.0000
Nb1 0.0212 0.5000 0.2643
Cr1 0.0000 0.0000 0.5000
O1 0.0054 0.2073 0.7248
O2 0.1772 0.5000 0.0095
O3 0.1954 0.5000 0.4988
```

Top 6 peaks for 2θ from 5° to 70°, sorted by position:
hkl  Position (°2θ)  d/Å  Rel. int.
2 0 0  25.08  3.551  1000
0 2 0  26.32  3.387  862
1 1 -2  33.15  2.703  686
1 1 2  33.33  2.688  664
2 2 0  36.67  2.451  344
3 1 -2  49.42  1.844  351



Computed X-ray powder pattern
Compound: CeZrCrO6
Radiation: Cu Kα (λ = 1.5418 Å)
Structure: the PBE+U geometry in Alexandria

Structural model:
```
data_CeZrCrO6
_chemical_formula_sum 'Ce2 Zr2 Cr2 O12'
_symmetry_space_group_name_H-M 'P 42 n m'
_symmetry_Int_Tables_number 102
_cell_length_a 4.8594
_cell_length_b 4.8594
_cell_length_c 9.8919
_cell_angle_alpha 90.00
_cell_angle_beta 90.00
_cell_angle_gamma 90.00
loop_
_symmetry_equiv_pos_as_xyz
'x,y,z'
'-y+1/2,x+1/2,z+1/2'
'-x,-y,z'
'y+1/2,-x+1/2,z+1/2'
'-x+1/2,y+1/2,z+1/2'
'y,x,z'
'x+1/2,-y+1/2,z+1/2'
'-y,-x,z'
loop_
_atom_site_label
_atom_site_fract_x
_atom_site_fract_y
_atom_site_fract_z
Ce1 0.0000 0.0000 0.0000
Zr1 0.0000 0.0000 0.3381
Cr1 0.0000 0.0000 0.6711
O1 0.1804 0.1804 0.5134
O2 0.1955 0.1955 0.8175
O3 0.2179 0.2179 0.1806
```

Top 6 peaks for 2θ from 5° to 70°, sorted by position:
hkl  Position (°2θ)  d/Å  Rel. int.
1 1 0  25.93  3.436  1000
1 0 3  32.82  2.728  783
2 0 0  37.00  2.430  190
2 1 3  50.28  1.815  660
2 2 0  53.32  1.718  169
3 0 3  64.05  1.454  199